Simulated powder X-ray diffraction pattern of NaRhO for a wavelength of 1.5418 Å, from a DFT-relaxed cell (GGA-PBE, Alexandria).

Peak list (12 most intense, 2θ = 15–90°, most intense first)
33.05°, I = 100; 31.47°, I = 91; 26.89°, I = 50; 56.77°, I = 48; 43.37°, I = 46; 40.30°, I = 45; 49.06°, I = 35; 35.20°, I = 32; 41.52°, I = 31; 50.29°, I = 29; 60.53°, I = 26; 44.46°, I = 25

Cell and atoms:
Cell: 2.887 3.629 8.274 Å, 90.00 99.93 90.00°
Positions (direct):
Na1 0.182 0.250 0.368
Na2 0.818 0.750 0.632
Rh1 0.450 0.250 0.899
Rh2 0.550 0.750 0.101
O1 0.335 0.250 0.666
O2 0.665 0.750 0.334



Simulated powder X-ray diffraction pattern of Na2Rh3O8 for a wavelength of 1.5418 Å, from a DFT-relaxed cell (GGA-PBE, Alexandria).

Peak list (12 most intense, 2θ = 15–90°, most intense first)
16.76°, I = 100; 35.05°, I = 34; 43.64°, I = 29; 29.13°, I = 20; 16.49°, I = 19; 34.03°, I = 18; 26.69°, I = 17; 36.56°, I = 16; 53.57°, I = 14; 45.91°, I = 13; 19.82°, I = 12; 60.66°, I = 12

Cell and atoms:
Cell: 6.461 6.461 5.257 Å, 108.10 108.10 57.76°
Positions (direct):
Na1 0.221 0.221 0.163
Na2 0.779 0.779 0.837
Rh1 0.240 0.760 0.500
Rh2 0.500 0.500 0.000
Rh3 0.760 0.240 0.500
O1 0.103 0.103 0.466
O2 0.185 0.623 0.114
O3 0.377 0.815 0.886
O4 0.405 0.405 0.591
O5 0.595 0.595 0.409
O6 0.623 0.185 0.114
O7 0.815 0.377 0.886
O8 0.897 0.897 0.534



Simulated powder X-ray diffraction pattern of NaRh7O12 for a wavelength of 1.5418 Å, from a DFT-relaxed cell (GGA-PBE, Alexandria).

Peak list (12 most intense, 2θ = 15–90°, most intense first)
33.22°, I = 100; 59.35°, I = 47; 47.68°, I = 23; 79.45°, I = 17; 69.73°, I = 13; 16.43°, I = 10; 28.66°, I = 5; 88.87°, I = 5; 37.27°, I = 3; 23.32°, I = 3; 44.43°, I = 2; 50.77°, I = 2

Cell and atoms:
Cell: 6.607 6.607 6.607 Å, 109.47 109.47 109.47°
Positions (direct):
Na1 0.000 0.000 0.000
Rh1 0.000 0.000 0.500
Rh2 0.000 0.500 0.000
Rh3 0.000 0.500 0.500
Rh4 0.500 0.000 0.000
Rh5 0.500 0.000 0.500
Rh6 0.500 0.500 0.000
Rh7 0.500 0.500 0.500
O1 0.136 0.316 0.820
O2 0.180 0.497 0.316
O3 0.180 0.864 0.684
O4 0.316 0.180 0.497
O5 0.316 0.820 0.136
O6 0.497 0.316 0.180
O7 0.503 0.684 0.820
O8 0.684 0.180 0.864
O9 0.684 0.820 0.503
O10 0.820 0.136 0.316
O11 0.820 0.503 0.684
O12 0.864 0.684 0.180



Simulated powder X-ray diffraction pattern of NaRhSeO4 for a wavelength of 1.5418 Å, from a DFT-relaxed cell (GGA-PBE, Alexandria).

Peak list (12 most intense, 2θ = 15–90°, most intense first)
17.40°, I = 100; 28.60°, I = 83; 50.65°, I = 33; 44.74°, I = 24; 33.67°, I = 19; 62.21°, I = 16; 81.61°, I = 16; 59.20°, I = 16; 67.05°, I = 13; 77.16°, I = 8; 40.89°, I = 8; 53.97°, I = 7

Cell and atoms:
Cell: 6.243 6.243 6.243 Å, 60.00 60.00 60.00°
Positions (direct):
Na1 0.000 0.000 0.000
Rh1 0.750 0.750 0.750
Se1 0.500 0.500 0.500
O1 0.150 0.617 0.617
O2 0.617 0.150 0.617
O3 0.617 0.617 0.150
O4 0.617 0.617 0.617



Simulated powder X-ray diffraction pattern of NaRhSe2O6 for a wavelength of 1.5418 Å, from a DFT-relaxed cell (GGA-PBE, Alexandria).

Peak list (12 most intense, 2θ = 15–90°, most intense first)
28.56°, I = 100; 34.52°, I = 45; 20.39°, I = 37; 32.55°, I = 26; 58.25°, I = 24; 45.39°, I = 22; 59.65°, I = 21; 61.85°, I = 18; 46.41°, I = 15; 48.18°, I = 12; 79.98°, I = 10; 60.61°, I = 10

Cell and atoms:
Cell: 6.524 6.524 6.524 Å, 46.93 46.93 46.93°
Positions (direct):
Na1 0.000 0.000 0.000
Rh1 0.500 0.500 0.500
Se1 0.271 0.271 0.271
Se2 0.729 0.729 0.729
O1 0.093 0.461 0.735
O2 0.265 0.907 0.539
O3 0.461 0.735 0.093
O4 0.539 0.265 0.907
O5 0.735 0.093 0.461
O6 0.907 0.539 0.265



Simulated powder X-ray diffraction pattern of Na3SnRh3O8 for a wavelength of 1.5418 Å, from a DFT-relaxed cell (GGA-PBE, Alexandria).

Peak list (12 most intense, 2θ = 15–90°, most intense first)
16.29°, I = 100; 39.83°, I = 72; 34.76°, I = 39; 33.39°, I = 37; 58.79°, I = 22; 56.37°, I = 22; 32.92°, I = 18; 51.63°, I = 17; 61.45°, I = 17; 69.05°, I = 17; 43.29°, I = 13; 73.37°, I = 10

Cell and atoms:
Cell: 6.539 6.539 6.539 Å, 57.42 57.42 57.42°
Positions (direct):
Na1 0.000 0.500 0.500
Na2 0.500 0.000 0.500
Na3 0.500 0.500 0.000
Sn1 0.500 0.500 0.500
Rh1 0.000 0.000 0.500
Rh2 0.000 0.500 0.000
Rh3 0.500 0.000 0.000
O1 0.231 0.231 0.231
O2 0.232 0.733 0.733
O3 0.267 0.267 0.768
O4 0.267 0.768 0.267
O5 0.733 0.232 0.733
O6 0.733 0.733 0.232
O7 0.768 0.267 0.267
O8 0.769 0.769 0.769



Simulated powder X-ray diffraction pattern of NaSrRhO4 for a wavelength of 1.5418 Å, from a DFT-relaxed cell (GGA-PBE, Alexandria).

Peak list (12 most intense, 2θ = 15–90°, most intense first)
31.32°, I = 100; 31.99°, I = 71; 45.88°, I = 42; 23.61°, I = 39; 56.60°, I = 38; 43.09°, I = 25; 55.31°, I = 23; 65.34°, I = 21; 43.87°, I = 19; 64.75°, I = 14; 66.89°, I = 12; 48.30°, I = 11

Cell and atoms:
Cell: 6.794 6.794 6.794 Å, 146.15 146.15 48.63°
Positions (direct):
Na1 0.000 0.000 0.000
Sr1 0.709 0.709 0.000
Rh1 0.358 0.358 0.000
O1 0.194 0.194 0.000
O2 0.346 0.846 0.500
O3 0.512 0.512 0.000
O4 0.846 0.346 0.500



Simulated powder X-ray diffraction pattern of NaSr2RhO5 for a wavelength of 1.5418 Å, from a DFT-relaxed cell (GGA-PBE, Alexandria).

Peak list (12 most intense, 2θ = 15–90°, most intense first)
31.37°, I = 100; 16.51°, I = 65; 43.20°, I = 29; 29.49°, I = 26; 53.50°, I = 22; 44.56°, I = 22; 41.72°, I = 17; 46.65°, I = 16; 65.46°, I = 15; 60.81°, I = 14; 30.86°, I = 14; 64.34°, I = 11

Cell and atoms:
Cell: 6.823 6.823 6.823 Å, 146.84 127.28 63.71°
Positions (direct):
Na1 0.000 0.000 0.000
Sr1 0.282 0.782 0.500
Sr2 0.718 0.218 0.500
Rh1 0.500 0.500 0.000
O1 0.146 0.373 0.773
O2 0.400 0.627 0.773
O3 0.500 0.000 0.500
O4 0.600 0.373 0.227
O5 0.854 0.627 0.227